(1)
Simulated powder diffractogram
Compound: Y2MnCo5Si2
Radiation: Cu Kα (weighted mean of Kα1 and Kα2)
Structure: DFT lattice parameters and positions (GGA-PBE)
Intensities are scaled so that the largest is 100.

Atomic structure:
```
data_Y2MnCo5Si2
_chemical_formula_sum 'Y4 Mn2 Co10 Si4'
_cell_length_a 9.4649
_cell_length_b 9.4649
_cell_length_c 3.2283
_cell_angle_alpha 90.00
_cell_angle_beta 90.00
_cell_angle_gamma 90.00
_symmetry_space_group_name_H-M 'P 4/m b m'
_symmetry_Int_Tables_number 127
_symmetry_space_group_name_Hall '-P 4 2ab'
loop_
_atom_site_label
_atom_site_type_symbol
_atom_site_fract_x
_atom_site_fract_y
_atom_site_fract_z
Y1 Y 0.1767 0.3233 0.0000
Mn1 Mn 0.0000 0.0000 0.0000
Co1 Co 0.0000 0.5000 0.5000
Co2 Co 0.0639 0.7872 0.5000
Si1 Si 0.1208 0.6208 0.0000
```

Top 12 peaks for 2θ from 15° to 90°, in order of rising 2θ:
2θ 34.95, intensity 46; 2θ 38.76, intensity 33; 2θ 39.25, intensity 71; 2θ 40.43, intensity 22; 2θ 41.13, intensity 100; 2θ 42.72, intensity 21; 2θ 44.48, intensity 35; 2θ 47.65, intensity 13; 2θ 57.06, intensity 20; 2θ 65.90, intensity 10; 2θ 70.00, intensity 15; 2θ 71.44, intensity 22

=====

(2)
Simulated powder diffractogram
Compound: SmMnCo
Radiation: Cu Kα (weighted mean of Kα1 and Kα2)
Structure: DFT lattice parameters and positions (GGA-PBE)
Intensities are scaled so that the largest is 100.

Atomic structure:
```
data_SmMnCo
_chemical_formula_sum 'Sm4 Mn4 Co4'
_cell_length_a 5.9378
_cell_length_b 5.4697
_cell_length_c 7.3687
_cell_angle_alpha 90.00
_cell_angle_beta 111.84
_cell_angle_gamma 90.00
_symmetry_space_group_name_H-M 'P 1 21/c 1'
_symmetry_Int_Tables_number 14
loop_
_symmetry_equiv_pos_as_xyz
'x,y,z'
'-x,-y,-z'
'-x,y+1/2,-z+1/2'
'x,-y+1/2,z+1/2'
loop_
_atom_site_label
_atom_site_type_symbol
_atom_site_fract_x
_atom_site_fract_y
_atom_site_fract_z
Sm1 Sm 0.1922 0.1123 0.3755
Mn1 Mn 0.4112 0.5986 0.3087
Co1 Co 0.1969 0.6151 0.5333
```

Top 12 peaks for 2θ from 15° to 90°, in order of rising 2θ:
2θ 25.02, intensity 33; 2θ 29.27, intensity 53; 2θ 30.84, intensity 49; 2θ 32.49, intensity 47; 2θ 34.38, intensity 74; 2θ 35.35, intensity 81; 2θ 35.67, intensity 72; 2θ 36.87, intensity 89; 2θ 37.25, intensity 69; 2θ 40.28, intensity 100; 2θ 41.14, intensity 80; 2θ 52.53, intensity 31

=====

(3)
Simulated powder diffractogram
Compound: Sm2MnCo10
Radiation: Cu Kα (weighted mean of Kα1 and Kα2)
Structure: DFT lattice parameters and positions (GGA-PBE)
Intensities are scaled so that the largest is 100.

Atomic structure:
```
data_Sm2MnCo10
_chemical_formula_sum 'Sm4 Mn2 Co20'
_cell_length_a 4.9403
_cell_length_b 11.9122
_cell_length_c 6.8161
_cell_angle_alpha 90.00
_cell_angle_beta 90.10
_cell_angle_gamma 90.00
_symmetry_space_group_name_H-M 'P 1 21/c 1'
_symmetry_Int_Tables_number 14
loop_
_symmetry_equiv_pos_as_xyz
'x,y,z'
'-x,-y,-z'
'-x,y+1/2,-z+1/2'
'x,-y+1/2,z+1/2'
loop_
_atom_site_label
_atom_site_type_symbol
_atom_site_fract_x
_atom_site_fract_y
_atom_site_fract_z
Sm1 Sm 0.0006 0.0924 0.2611
Mn1 Mn 0.5000 0.0000 0.0000
Co1 Co 0.2414 0.1635 0.8267
Co2 Co 0.2411 0.6635 0.6731
Co3 Co 0.4990 0.0128 0.6659
Co4 Co 0.4990 0.6718 0.0153
Co5 Co 0.5004 0.1738 0.1530
```

Top 12 peaks for 2θ from 15° to 90°, in order of rising 2θ:
2θ 19.80, intensity 27; 2θ 26.15, intensity 39; 2θ 26.85, intensity 38; 2θ 31.90, intensity 51; 2θ 32.81, intensity 32; 2θ 36.37, intensity 29; 2θ 37.66, intensity 62; 2θ 41.75, intensity 100; 2θ 46.02, intensity 67; 2θ 46.56, intensity 28; 2θ 49.48, intensity 46; 2θ 49.79, intensity 35

=====

(4)
Simulated powder diffractogram
Compound: SmMnCo
Radiation: Cu Kα (weighted mean of Kα1 and Kα2)
Structure: DFT lattice parameters and positions (GGA-PBE)
Intensities are scaled so that the largest is 100.

Atomic structure:
```
data_SmMnCo
_chemical_formula_sum 'Sm1 Mn1 Co1'
_cell_length_a 4.0121
_cell_length_b 4.0121
_cell_length_c 4.0641
_cell_angle_alpha 90.00
_cell_angle_beta 90.00
_cell_angle_gamma 120.00
_symmetry_space_group_name_H-M 'P -6 m 2'
_symmetry_Int_Tables_number 187
_symmetry_space_group_name_Hall 'P -6 2'
loop_
_atom_site_label
_atom_site_type_symbol
_atom_site_fract_x
_atom_site_fract_y
_atom_site_fract_z
Sm1 Sm 0.0000 0.0000 0.0000
Mn1 Mn 0.6667 0.3333 0.5000
Co1 Co 0.3333 0.6667 0.5000
```

Top 12 peaks for 2θ from 15° to 90°, in order of rising 2θ:
2θ 25.64, intensity 19; 2θ 33.94, intensity 100; 2θ 44.59, intensity 13; 2θ 45.20, intensity 36; 2θ 52.14, intensity 6; 2θ 52.69, intensity 3; 2θ 57.71, intensity 21; 2θ 65.37, intensity 23; 2θ 75.29, intensity 9; 2θ 76.18, intensity 18; 2θ 83.46, intensity 6; 2θ 88.69, intensity 3

=====

(5)
Simulated powder diffractogram
Compound: MnCoSn4
Radiation: Cu Kα (weighted mean of Kα1 and Kα2)
Structure: DFT lattice parameters and positions (GGA-PBE)
Intensities are scaled so that the largest is 100.

Atomic structure:
```
data_MnCoSn4
_chemical_formula_sum 'Mn2 Co2 Sn8'
_cell_length_a 6.5440
_cell_length_b 6.5440
_cell_length_c 5.4210
_cell_angle_alpha 90.00
_cell_angle_beta 90.00
_cell_angle_gamma 90.00
_symmetry_space_group_name_H-M 'I 4 2 2'
_symmetry_Int_Tables_number 97
_symmetry_space_group_name_Hall 'I 4 2'
loop_
_atom_site_label
_atom_site_type_symbol
_atom_site_fract_x
_atom_site_fract_y
_atom_site_fract_z
Mn1 Mn 0.0000 0.0000 0.0000
Co1 Co 0.0000 0.0000 0.5000
Sn1 Sn 0.1644 0.3356 0.7500
```

Top 12 peaks for 2θ from 15° to 90°, in order of rising 2θ:
2θ 33.05, intensity 14; 2θ 34.84, intensity 100; 2θ 38.49, intensity 17; 2θ 43.35, intensity 25; 2θ 43.74, intensity 26; 2θ 60.19, intensity 21; 2θ 60.81, intensity 19; 2θ 66.79, intensity 8; 2θ 70.21, intensity 18; 2θ 80.55, intensity 9; 2θ 81.10, intensity 11; 2θ 85.68, intensity 8

=====

(6)
Simulated powder diffractogram
Compound: Ta2Mn3Co
Radiation: Cu Kα (weighted mean of Kα1 and Kα2)
Structure: DFT lattice parameters and positions (GGA-PBE)
Intensities are scaled so that the largest is 100.

Atomic structure:
```
data_Ta2Mn3Co
_chemical_formula_sum 'Ta6 Mn9 Co3'
_cell_length_a 4.7179
_cell_length_b 4.7179
_cell_length_c 12.1349
_cell_angle_alpha 90.00
_cell_angle_beta 90.00
_cell_angle_gamma 120.00
_symmetry_space_group_name_H-M 'R -3 m'
_symmetry_Int_Tables_number 166
_symmetry_space_group_name_Hall '-R 3 2"'
loop_
_atom_site_label
_atom_site_type_symbol
_atom_site_fract_x
_atom_site_fract_y
_atom_site_fract_z
Ta1 Ta 0.0000 0.0000 0.1220
Mn1 Mn 0.0000 0.5000 0.0000
Co1 Co 0.0000 0.0000 0.5000
```

Top 12 peaks for 2θ from 15° to 90°, in order of rising 2θ:
2θ 22.97, intensity 41; 2θ 36.90, intensity 82; 2θ 38.15, intensity 81; 2θ 43.36, intensity 66; 2θ 44.46, intensity 100; 2θ 45.00, intensity 50; 2θ 46.93, intensity 19; 2θ 68.13, intensity 28; 2θ 72.56, intensity 28; 2θ 73.35, intensity 22; 2θ 78.55, intensity 24; 2θ 81.63, intensity 22

=====

(7)
Simulated powder diffractogram
Compound: TbMn17Co
Radiation: Cu Kα (weighted mean of Kα1 and Kα2)
Structure: DFT lattice parameters and positions (GGA-PBE)
Intensities are scaled so that the largest is 100.

Atomic structure:
```
data_TbMn17Co
_chemical_formula_sum 'Tb3 Mn51 Co3'
_cell_length_a 8.0104
_cell_length_b 8.0104
_cell_length_c 12.4605
_cell_angle_alpha 90.00
_cell_angle_beta 90.00
_cell_angle_gamma 120.00
_symmetry_space_group_name_H-M 'R 3 m'
_symmetry_Int_Tables_number 160
_symmetry_space_group_name_Hall 'R 3 -2"'
loop_
_atom_site_label
_atom_site_type_symbol
_atom_site_fract_x
_atom_site_fract_y
_atom_site_fract_z
Tb1 Tb 0.0000 0.0000 0.0000
Mn1 Mn 0.0000 0.0000 0.5728
Mn2 Mn 0.0000 0.0000 0.7499
Mn3 Mn 0.0336 0.3462 0.3278
Mn4 Mn 0.1673 0.3345 0.5021
Mn5 Mn 0.1686 0.3373 0.8336
Mn6 Mn 0.1695 0.3390 0.1478
Co1 Co 0.0000 0.0000 0.2609
```

Top 12 peaks for 2θ from 15° to 90°, in order of rising 2θ:
2θ 26.68, intensity 11; 2θ 31.02, intensity 18; 2θ 31.48, intensity 13; 2θ 38.91, intensity 66; 2θ 43.58, intensity 25; 2θ 44.85, intensity 100; 2θ 45.27, intensity 63; 2θ 49.44, intensity 16; 2θ 50.59, intensity 36; 2θ 74.68, intensity 14; 2θ 80.93, intensity 12; 2θ 83.63, intensity 19

=====

(8)
Simulated powder diffractogram
Compound: ThMn10Co2
Radiation: Cu Kα (weighted mean of Kα1 and Kα2)
Structure: DFT lattice parameters and positions (GGA-PBE)
Intensities are scaled so that the largest is 100.

Atomic structure:
```
data_ThMn10Co2
_chemical_formula_sum 'Th4 Mn40 Co8'
_cell_length_a 8.4818
_cell_length_b 9.6330
_cell_length_c 8.3409
_cell_angle_alpha 90.00
_cell_angle_beta 90.00
_cell_angle_gamma 90.00
_symmetry_space_group_name_H-M 'C m c m'
_symmetry_Int_Tables_number 63
_symmetry_space_group_name_Hall '-C 2c 2'
loop_
_atom_site_label
_atom_site_type_symbol
_atom_site_fract_x
_atom_site_fract_y
_atom_site_fract_z
Th1 Th 0.0000 0.1111 0.2500
Mn1 Mn 0.0000 0.1735 0.5988
Mn2 Mn 0.0000 0.3894 0.0823
Mn3 Mn 0.1325 0.3833 0.7500
Mn4 Mn 0.2439 0.0000 0.0000
Mn5 Mn 0.2451 0.3702 0.2500
Co1 Co 0.2500 0.2500 0.0000
```

Top 12 peaks for 2θ from 15° to 90°, in order of rising 2θ:
2θ 25.53, intensity 19; 2θ 30.05, intensity 53; 2θ 31.67, intensity 23; 2θ 37.34, intensity 47; 2θ 39.63, intensity 28; 2θ 42.63, intensity 40; 2θ 43.20, intensity 100; 2θ 43.39, intensity 66; 2θ 44.03, intensity 25; 2θ 62.45, intensity 30; 2θ 62.92, intensity 25; 2θ 78.45, intensity 20